No. 1
For NbTeBr3, a crystal structure in the Materials Project, relaxed with PBE gives the calculated powder XRD pattern in this record (Cu Kα, 1.54184 Å).

Peak list (12 most intense, 2θ from 10° to 90°, low angle first)
| 2θ (°) | I/Imax | hkl |
| --- | --- | --- |
| 12.70 | 99 | 1 0 0 |
| 13.56 | 100 | 0 1 1 |
| 27.31 | 45 | 0 2 2 |
| 28.14 | 28 | 2 1 -1 |
| 29.25 | 41 | 1 0 -4 |
| 29.36 | 28 | 1 2 -2 |
| 29.89 | 27 | 2 1 -2 |
| 32.60 | 47 | 1 0 4 |
| 33.04 | 60 | 1 2 -3 |
| 36.35 | 32 | 2 2 1 |
| 41.25 | 28 | 1 1 5 |
| 43.34 | 50 | 1 2 -5 |

Cell and atoms:
```
data_NbTeBr3
_chemical_formula_sum 'Nb4 Te4 Br12'
_space_group_name_H-M_alt 'P 1 2/c 1'
_space_group_IT_number 13
_space_group_name_Hall '-P 2yc'
_cell_length_a 7.039
_cell_length_b 7.616
_cell_length_c 12.818
_cell_angle_alpha 90.00
_cell_angle_beta 98.02
_cell_angle_gamma 90.00
loop_
_atom_site_label
_atom_site_type_symbol
_atom_site_fract_x
_atom_site_fract_y
_atom_site_fract_z
Nb1 Nb 0.069 0.138 0.148
Te1 Te 0.178 0.408 0.305
Br1 Br 0.144 0.170 0.543
Br2 Br 0.239 0.050 0.803
Br3 Br 0.352 0.269 0.069
```



No. 2
For KUC3O10, a crystal structure in the Materials Project, relaxed with PBE gives the calculated powder XRD pattern in this record (Cu Kα, 1.54184 Å).

Peak list (12 most intense, 2θ from 10° to 90°, low angle first)
| 2θ (°) | I/Imax | hkl |
| --- | --- | --- |
| 10.84 | 79 | 0 1 1 |
| 16.68 | 100 | 0 3 1 |
| 16.93 | 42 | 1 1 -1 |
| 17.89 | 78 | 1 0 0 |
| 19.82 | 43 | 0 0 2 |
| 20.28 | 73 | 1 0 -2 |
| 21.19 | 47 | 1 3 -1 |
| 25.42 | 26 | 1 4 0 |
| 27.52 | 42 | 1 3 1 |
| 27.89 | 31 | 1 1 -3 |
| 32.93 | 28 | 0 3 3 |
| 42.44 | 25 | 1 6 2 |

Cell and atoms:
```
data_KUC3O10
_chemical_formula_sum 'K4 U4 C12 O40'
_space_group_name_H-M_alt 'P 1 21/c 1'
_space_group_IT_number 14
_space_group_name_Hall '-P 2ybc'
_cell_length_a 5.483
_cell_length_b 19.805
_cell_length_c 9.903
_cell_angle_alpha 90.00
_cell_angle_beta 115.21
_cell_angle_gamma 90.00
loop_
_atom_site_label
_atom_site_type_symbol
_atom_site_fract_x
_atom_site_fract_y
_atom_site_fract_z
K1 K 0.009 0.121 0.107
U1 U 0.047 0.163 0.510
C1 C 0.145 0.502 0.060
C2 C 0.413 0.717 0.690
C3 C 0.480 0.724 0.298
O1 O 0.050 0.037 0.857
O2 O 0.128 0.664 0.872
O3 O 0.213 0.725 0.565
O4 O 0.224 0.157 0.392
O5 O 0.234 0.561 0.106
O6 O 0.266 0.053 0.605
O7 O 0.295 0.045 0.925
O8 O 0.310 0.230 0.080
O9 O 0.328 0.673 0.258
O10 O 0.438 0.166 0.765
```



No. 3
For Cs2AgAuCl6, a crystal structure in the Materials Project, relaxed with PBE gives the calculated powder XRD pattern in this record (Cu Kα, 1.54184 Å).

Peak list (12 most intense, 2θ from 10° to 90°, low angle first)
| 2θ (°) | I/Imax | hkl |
| --- | --- | --- |
| 14.70 | 6 | 1 1 1 |
| 16.98 | 7 | 2 0 0 |
| 24.11 | 100 | 2 2 0 |
| 34.36 | 51 | 4 0 0 |
| 42.41 | 46 | 4 2 2 |
| 49.38 | 35 | 4 4 0 |
| 55.68 | 21 | 6 2 0 |
| 61.53 | 12 | 4 4 4 |
| 67.08 | 24 | 6 4 2 |
| 77.59 | 12 | 6 6 0 |
| 82.66 | 15 | 8 4 0 |
| 87.68 | 6 | 6 6 4 |

Cell and atoms:
```
data_Cs2AgAuCl6
_chemical_formula_sum 'Cs8 Ag4 Au4 Cl24'
_space_group_name_H-M_alt 'F m -3 m'
_space_group_IT_number 225
_space_group_name_Hall '-F 4 2 3'
_cell_length_a 10.441
_cell_length_b 10.441
_cell_length_c 10.441
_cell_angle_alpha 90.00
_cell_angle_beta 90.00
_cell_angle_gamma 90.00
loop_
_atom_site_label
_atom_site_type_symbol
_atom_site_fract_x
_atom_site_fract_y
_atom_site_fract_z
Cs1 Cs 0.250 0.250 0.250
Ag1 Ag 0.000 0.000 0.000
Au1 Au 0.000 0.000 0.500
Cl1 Cl 0.000 0.000 0.253
```



No. 4
For CuSbPbS3, a crystal structure in the Materials Project, relaxed with PBE gives the calculated powder XRD pattern in this record (Cu Kα, 1.54184 Å).

Peak list (12 most intense, 2θ from 10° to 90°, low angle first)
| 2θ (°) | I/Imax | hkl |
| --- | --- | --- |
| 20.14 | 29 | 0 0 2 |
| 22.55 | 33 | 2 0 0 |
| 22.85 | 36 | 0 1 2 |
| 29.59 | 36 | 0 2 2 |
| 30.42 | 28 | 2 0 2 |
| 31.32 | 37 | 2 2 0 |
| 32.32 | 100 | 2 1 2 |
| 32.97 | 46 | 2 2 1 |
| 34.01 | 25 | 0 3 1 |
| 45.02 | 28 | 0 3 3 |
| 48.58 | 32 | 2 1 4 |
| 50.88 | 44 | 2 4 1 |

Cell and atoms:
```
data_CuSbPbS3
_chemical_formula_sum 'Cu4 Sb4 Pb4 S12'
_space_group_name_H-M_alt 'P m n 21'
_space_group_IT_number 31
_space_group_name_Hall 'P 2ac -2'
_cell_length_a 7.885
_cell_length_b 8.287
_cell_length_c 8.816
_cell_angle_alpha 90.00
_cell_angle_beta 90.00
_cell_angle_gamma 90.00
loop_
_atom_site_label
_atom_site_type_symbol
_atom_site_fract_x
_atom_site_fract_y
_atom_site_fract_z
Cu1 Cu 0.245 0.222 0.000
Sb1 Sb 0.000 0.569 0.128
Sb2 Sb 0.000 0.991 0.726
Pb1 Pb 0.000 0.052 0.241
Pb2 Pb 0.000 0.430 0.580
S1 S 0.000 0.256 0.860
S2 S 0.000 0.731 0.366
S3 S 0.231 0.061 0.547
S4 S 0.235 0.389 0.213
```



No. 5
For NaH6BrO5, a crystal structure in the Materials Project, relaxed with PBE gives the calculated powder XRD pattern in this record (Cu Kα, 1.54184 Å).

Peak list (12 most intense, 2θ from 10° to 90°, low angle first)
| 2θ (°) | I/Imax | hkl |
| --- | --- | --- |
| 17.05 | 62 | 1 0 0 |
| 19.30 | 61 | 1 0 -1 |
| 20.79 | 100 | 0 1 -1 |
| 21.55 | 56 | 0 1 2 |
| 22.94 | 38 | 1 1 -1 |
| 26.53 | 61 | 1 -1 0 |
| 28.59 | 49 | 1 2 1 |
| 29.21 | 71 | 0 2 1 |
| 30.39 | 65 | 1 1 -2 |
| 30.61 | 54 | 1 -1 1 |
| 35.36 | 38 | 2 0 -1 |
| 41.75 | 37 | 0 0 4 |

Cell and atoms:
```
data_NaH6BrO5
_chemical_formula_sum 'Na2 H12 Br2 O10'
_space_group_name_H-M_alt 'P -1'
_space_group_IT_number 2
_space_group_name_Hall '-P 1'
_cell_length_a 5.526
_cell_length_b 6.487
_cell_length_c 9.087
_cell_angle_alpha 72.63
_cell_angle_beta 87.84
_cell_angle_gamma 70.59
loop_
_atom_site_label
_atom_site_type_symbol
_atom_site_fract_x
_atom_site_fract_y
_atom_site_fract_z
Na1 Na 0.229 0.048 0.099
H1 H 0.093 0.932 0.651
H2 H 0.115 0.824 0.427
H3 H 0.206 0.178 0.764
H4 H 0.246 0.596 0.066
H5 H 0.305 0.377 0.764
H6 H 0.350 0.731 0.920
Br1 Br 0.397 0.327 0.373
O1 O 0.008 0.921 0.330
O2 O 0.211 0.752 0.990
O3 O 0.287 0.667 0.617
O4 O 0.324 0.217 0.822
O5 O 0.342 0.324 0.185
```



No. 6
For RbSe, a crystal structure in the Materials Project, relaxed with PBE gives the calculated powder XRD pattern in this record (Cu Kα, 1.54184 Å).

Peak list (9 most intense, 2θ from 10° to 90°, low angle first)
| 2θ (°) | I/Imax | hkl |
| --- | --- | --- |
| 25.19 | 100 | 2 0 0 |
| 35.92 | 78 | 2 2 0 |
| 44.37 | 28 | 2 2 2 |
| 51.70 | 13 | 4 0 0 |
| 58.35 | 37 | 4 2 0 |
| 64.56 | 27 | 4 2 2 |
| 76.14 | 9 | 4 4 0 |
| 81.70 | 18 | 6 0 0 |
| 87.17 | 12 | 6 2 0 |

Cell and atoms:
```
data_RbSe
_chemical_formula_sum 'Rb4 Se4'
_space_group_name_H-M_alt 'F m -3 m'
_space_group_IT_number 225
_space_group_name_Hall '-F 4 2 3'
_cell_length_a 7.072
_cell_length_b 7.072
_cell_length_c 7.072
_cell_angle_alpha 90.00
_cell_angle_beta 90.00
_cell_angle_gamma 90.00
loop_
_atom_site_label
_atom_site_type_symbol
_atom_site_fract_x
_atom_site_fract_y
_atom_site_fract_z
Rb1 Rb 0.000 0.000 0.000
Se1 Se 0.000 0.000 0.500
```



No. 7
For LuP3O9, a crystal structure in the Materials Project, relaxed with PBE gives the calculated powder XRD pattern in this record (Cu Kα, 1.54184 Å).

Peak list (12 most intense, 2θ from 10° to 90°, low angle first)
| 2θ (°) | I/Imax | hkl |
| --- | --- | --- |
| 15.83 | 50 | 1 1 -1 |
| 17.75 | 28 | 2 0 -2 |
| 21.47 | 100 | 1 1 1 |
| 23.20 | 28 | 3 1 -1 |
| 24.31 | 17 | 3 1 -2 |
| 25.35 | 19 | 4 0 -2 |
| 29.91 | 23 | 3 1 -3 |
| 30.83 | 20 | 2 2 0 |
| 34.28 | 13 | 2 0 2 |
| 34.67 | 15 | 0 2 2 |
| 41.66 | 12 | 4 2 0 |
| 49.84 | 13 | 6 2 -4 |

Cell and atoms:
```
data_LuP3O9
_chemical_formula_sum 'Lu4 P12 O36'
_space_group_name_H-M_alt 'C 1 c 1'
_space_group_IT_number 9
_space_group_name_Hall 'C -2yc'
_cell_length_a 14.165
_cell_length_b 6.757
_cell_length_c 10.085
_cell_angle_alpha 90.00
_cell_angle_beta 127.05
_cell_angle_gamma 90.00
loop_
_atom_site_label
_atom_site_type_symbol
_atom_site_fract_x
_atom_site_fract_y
_atom_site_fract_z
Lu1 Lu 0.000 0.236 0.000
P1 P 0.153 0.099 0.838
P2 P 0.242 0.423 0.729
P3 P 0.354 0.092 0.668
O1 O 0.056 0.127 0.856
O2 O 0.130 0.047 0.210
O3 O 0.148 0.439 0.100
O4 O 0.186 0.311 0.806
O5 O 0.258 0.256 0.630
O6 O 0.275 0.055 0.015
O7 O 0.360 0.491 0.367
O8 O 0.397 0.020 0.324
O9 O 0.444 0.182 0.653
```